Simulated powder diffraction line list
Compound: MnBi2O4F
Radiation: CuKα
Structure: DFT lattice parameters and positions (PBE+U)

Crystal structure
Unit cell a=10.244 b=3.402 c=6.938 alpha=90.00 beta=115.52 gamma=90.00
Positions (direct):
Mn  0.000  0.000  0.000
Mn  0.500  0.500  0.000
Bi  0.194  0.000  0.721
Bi  0.306  0.500  0.279
Bi  0.694  0.500  0.721
Bi  0.806  0.000  0.279
O  0.120  0.500  0.948
O  0.158  0.000  0.288
O  0.342  0.500  0.712
O  0.380  0.000  0.052
O  0.620  0.000  0.948
O  0.658  0.500  0.288
O  0.842  0.000  0.712
O  0.880  0.500  0.052
F  0.000  0.500  0.500
F  0.500  0.000  0.500

Largest 10 diffraction maxima, by angle, 2θ from 10° to 90°:
2θ = 19.2°, I 66; 2θ = 26.6°, I 100; 2θ = 28.5°, I 91; 2θ = 29.5°, I 81; 2θ = 33.3°, I 78; 2θ = 37.4°, I 62; 2θ = 39.5°, I 41; 2θ = 40.8°, I 42; 2θ = 48.4°, I 46; 2θ = 57.0°, I 44